# Na3La2P3O12
Computed X-ray diffraction stick pattern, Cu Kα (λ = 1.5418 Å). Input: a crystal structure in the Materials Project, relaxed with GGA-PBE.
Kinematic intensities with the Lorentz-polarization factor, no thermal factor.

Main lines, sorted by position (10° ≤ 2θ ≤ 80°):
- d 6.793, 13.03 deg, I 25
- d 4.822, 18.40 deg, I 84
- d 4.789, 18.53 deg, I 87
- d 4.091, 21.73 deg, I 26
- d 3.398, 26.22 deg, I 36
- d 3.052, 29.26 deg, I 77
- d 3.041, 29.37 deg, I 40
- d 2.766, 32.37 deg, I 100
- d 2.045, 44.29 deg, I 32
- d 1.810, 50.41 deg, I 33

Cell: 9.583 9.583 9.677 Å, 119.99 119.99 59.90°
Atoms (fractional coordinates):
Na1 0.066 0.934 0.500
Na2 0.202 0.661 0.804
Na3 0.592 0.788 0.043
Na4 0.661 0.202 0.304
Na5 0.788 0.592 0.543
Na6 0.934 0.066 0.000
La1 0.059 0.525 0.354
La2 0.339 0.839 0.254
La3 0.525 0.059 0.854
La4 0.839 0.339 0.754
P1 0.114 0.247 0.542
P2 0.247 0.114 0.042
P3 0.445 0.647 0.577
P4 0.647 0.445 0.077
P5 0.760 0.933 0.562
P6 0.933 0.760 0.062
O1 0.071 0.786 0.045
O2 0.093 0.427 0.560
O3 0.104 0.155 0.882
O4 0.155 0.104 0.382
O5 0.201 0.258 0.201
O6 0.256 0.942 0.031
O7 0.258 0.201 0.701
O8 0.291 0.631 0.577
O9 0.380 0.720 0.436
O10 0.427 0.093 0.060
O11 0.473 0.591 0.043
O12 0.514 0.776 0.749
O13 0.591 0.473 0.543
O14 0.606 0.883 0.411
O15 0.631 0.291 0.077
O16 0.720 0.380 0.936
O17 0.725 0.998 0.730
O18 0.774 0.926 0.067
O19 0.776 0.514 0.249
O20 0.786 0.071 0.545
O21 0.883 0.606 0.911
O22 0.926 0.774 0.567
O23 0.942 0.256 0.531
O24 0.998 0.725 0.230


# Na2LaPS2O7
Computed X-ray diffraction stick pattern, Cu Kα (λ = 1.5418 Å). Input: a crystal structure in the Materials Project, relaxed with GGA-PBE.
Kinematic intensities with the Lorentz-polarization factor, no thermal factor.

Main lines, sorted by position (10° ≤ 2θ ≤ 80°):
- d 7.457, 11.87 deg, I 100
- d 4.750, 18.68 deg, I 29
- d 4.170, 21.31 deg, I 37
- d 3.975, 22.37 deg, I 40
- d 3.405, 26.17 deg, I 24
- d 2.958, 30.22 deg, I 22
- d 2.803, 31.93 deg, I 60
- d 2.714, 33.01 deg, I 33
- d 2.650, 33.82 deg, I 23
- d 2.019, 44.90 deg, I 24

Cell: 14.923 5.427 9.825 Å, 90.00 92.05 90.00°
Atoms (fractional coordinates):
Na1 0.000 0.000 0.000
Na2 0.000 0.500 0.500
Na3 0.098 0.001 0.680
Na4 0.098 0.499 0.180
Na5 0.500 0.000 0.000
Na6 0.500 0.500 0.500
Na7 0.902 0.501 0.820
Na8 0.902 0.999 0.320
La1 0.279 0.032 0.029
La2 0.279 0.468 0.529
La3 0.721 0.532 0.471
La4 0.721 0.968 0.971
P1 0.350 0.524 0.185
P2 0.350 0.976 0.685
P3 0.650 0.024 0.315
P4 0.650 0.476 0.815
S1 0.129 0.514 0.851
S2 0.129 0.986 0.351
S3 0.261 0.015 0.340
S4 0.261 0.485 0.840
S5 0.739 0.515 0.160
S6 0.739 0.985 0.660
S7 0.871 0.014 0.649
S8 0.871 0.486 0.149
O1 0.085 0.026 0.213
O2 0.085 0.474 0.713
O3 0.094 0.172 0.448
O4 0.094 0.328 0.948
O5 0.106 0.732 0.399
O6 0.106 0.768 0.899
O7 0.246 0.518 0.154
O8 0.246 0.982 0.654
O9 0.370 0.512 0.341
O10 0.370 0.988 0.841
O11 0.386 0.731 0.625
O12 0.386 0.769 0.125
O13 0.390 0.203 0.612
O14 0.390 0.297 0.112
O15 0.610 0.703 0.888
O16 0.610 0.797 0.388
O17 0.614 0.231 0.875
O18 0.614 0.269 0.375
O19 0.630 0.012 0.159
O20 0.630 0.488 0.659
O21 0.754 0.018 0.346
O22 0.754 0.482 0.846
O23 0.894 0.232 0.101
O24 0.894 0.268 0.601
O25 0.906 0.672 0.052
O26 0.906 0.828 0.552
O27 0.915 0.526 0.287
O28 0.915 0.974 0.787


# Na2La2P2SO12
Computed X-ray diffraction stick pattern, Cu Kα (λ = 1.5418 Å). Input: a crystal structure in the Materials Project, relaxed with GGA-PBE.
Kinematic intensities with the Lorentz-polarization factor, no thermal factor.

Main lines, sorted by position (10° ≤ 2θ ≤ 80°):
- d 6.832, 12.96 deg, I 24
- d 4.951, 17.91 deg, I 53
- d 4.882, 18.17 deg, I 37
- d 4.777, 18.57 deg, I 100
- d 3.416, 26.08 deg, I 32
- d 3.132, 28.50 deg, I 47
- d 3.108, 28.72 deg, I 52
- d 3.081, 28.98 deg, I 38
- d 2.761, 32.43 deg, I 60
- d 1.806, 50.55 deg, I 31

Cell: 9.551 9.551 9.777 Å, 118.31 118.31 60.09°
Atoms (fractional coordinates):
Na1 0.055 0.945 0.500
Na2 0.337 0.834 0.239
Na3 0.834 0.337 0.739
Na4 0.945 0.055 0.000
La1 0.155 0.646 0.782
La2 0.465 0.966 0.690
La3 0.646 0.155 0.282
La4 0.966 0.465 0.190
P1 0.056 0.244 0.473
P2 0.244 0.056 0.973
P3 0.768 0.867 0.496
P4 0.867 0.768 0.996
S1 0.366 0.567 0.491
S2 0.567 0.366 0.991
O1 0.013 0.271 0.310
O2 0.029 0.760 0.986
O3 0.072 0.209 0.982
O4 0.103 0.394 0.621
O5 0.209 0.072 0.482
O6 0.225 0.523 0.343
O7 0.229 0.904 0.980
O8 0.271 0.013 0.810
O9 0.333 0.602 0.639
O10 0.369 0.723 0.492
O11 0.394 0.103 0.121
O12 0.426 0.531 0.985
O13 0.523 0.225 0.843
O14 0.531 0.426 0.485
O15 0.595 0.892 0.496
O16 0.602 0.333 0.139
O17 0.713 0.816 0.848
O18 0.723 0.369 0.992
O19 0.760 0.029 0.486
O20 0.816 0.713 0.348
O21 0.837 0.914 0.156
O22 0.892 0.595 0.996
O23 0.904 0.229 0.480
O24 0.914 0.837 0.656